Diffraction record for GaNi14Rh. The XRD peak list is simulated, not measured: it uses a DFT-relaxed cell (GGA-PBE, Alexandria) and copper Kα.
Neutral-atom scattering factors, no anomalous dispersion.

The 10 most intense peaks (10° ≤ 2θ ≤ 90°), by angle:
(1 0 4), 42.72°, d 2.117, I = 25
(1 2 2), 42.94°, d 2.106, I = 52
(4 0 0), 44.00°, d 2.058, I = 57
(2 0 4), 47.00°, d 1.934, I = 53
(2 2 2), 47.20°, d 1.926, I = 100
(3 0 4), 53.53°, d 1.712, I = 12
(3 2 2), 53.71°, d 1.706, I = 26
(5 2 2), 71.87°, d 1.314, I = 11
(0 2 6), 75.28°, d 1.262, I = 21
(6 2 2), 83.21°, d 1.161, I = 17

Structure:
Unit cell a=8.2326 b=5.0236 c=8.7606 alpha=90.00 beta=90.00 gamma=90.00
Space group Amm2 (No. 38)
Inequivalent atoms, fractional coordinates:
Ga  0.0000  0.0000  0.0000 [2 per cell]
Ni  0.0000  0.2483  0.7499 [4 per cell]
Ni  0.2522  0.0000  0.1660 [4 per cell]
Ni  0.2546  0.0000  0.6665 [4 per cell]
Ni  0.2559  0.2494  0.9141 [8 per cell]
Ni  0.5000  0.0000  0.3312 [2 per cell]
Ni  0.5000  0.0000  0.8314 [2 per cell]
Ni  0.5000  0.2493  0.0817 [4 per cell]
Rh  0.0000  0.0000  0.5005 [2 per cell]